Diffraction record for AcTcO4. The PXRD pattern is simulated, not measured: it uses a cell relaxed with GGA-PBE and λ = 1.5418 Å (Cu Kα).

Top 8 peaks for 2θ = 10–90°, by intensity:
two_theta, I/Imax
27.46, 100
55.46, 29
32.88, 27
44.79, 24
29.55, 22
51.16, 18
47.19, 18
56.67, 14

```
data_AcTcO4
_chemical_formula_sum 'Ac2 Tc2 O8'
_cell_length_a 3.8519
_cell_length_b 3.8519
_cell_length_c 12.0909
_cell_angle_alpha 90.00
_cell_angle_beta 90.00
_cell_angle_gamma 90.00
_space_group_name_H-M_alt 'P 4/n m m'
_space_group_IT_number 129
loop_
_space_group_symop_operation_xyz
'x,y,z'
'-x,-y,-z'
'-y+1/2,x,z'
'y+1/2,-x,-z'
'-x+1/2,-y+1/2,z'
'x+1/2,y+1/2,-z'
'y,-x+1/2,z'
'-y,x+1/2,-z'
'x+1/2,-y,-z'
'-x+1/2,y,z'
'-y,-x,-z'
'y,x,z'
'-x,y+1/2,-z'
'x,-y+1/2,z'
'y+1/2,x+1/2,-z'
'-y+1/2,-x+1/2,z'
loop_
_atom_site_label
_atom_site_type_symbol
_atom_site_fract_x
_atom_site_fract_y
_atom_site_fract_z
Ac1 Ac 0.2500 0.2500 0.1195
Tc1 Tc 0.2500 0.2500 0.6447
O1 O 0.2500 0.2500 0.8004
O2 O 0.2500 0.7500 0.0000
O3 O 0.2500 0.7500 0.3647
```